Structure and simulated X-ray powder pattern of BaHoCo4O7 (DFT lattice parameters and positions (GGA+U); CuKα).
Intensities are scaled so that the largest is 1000.

Cell and atoms:
a = 6.3396 Å, b = 6.3396 Å, c = 10.2124 Å
α = 90.00°, β = 90.00°, γ = 119.69°
Positions (direct):
Ba  0.1545  0.8455  0.5000
Ba  0.8455  0.1545  0.0000
Ho  0.1680  0.8320  0.1292
Ho  0.8320  0.1680  0.6292
Co  0.1657  0.3324  0.3100
Co  0.3286  0.6714  0.8106
Co  0.3324  0.1657  0.8100
Co  0.4979  0.5021  0.5521
Co  0.5021  0.4979  0.0521
Co  0.6676  0.8343  0.3100
Co  0.6714  0.3286  0.3106
Co  0.8343  0.6676  0.8100
O  0.0018  0.9982  0.2521
O  0.0033  0.5020  0.2499
O  0.1761  0.3171  0.5032
O  0.3171  0.1761  0.0032
O  0.3364  0.6636  0.0016
O  0.4967  0.5033  0.7415
O  0.4980  0.9967  0.2499
O  0.5020  0.0033  0.7499
O  0.5033  0.4967  0.2415
O  0.6636  0.3364  0.5016
O  0.6829  0.8239  0.5032
O  0.8239  0.6829  0.0032
O  0.9967  0.4980  0.7499
O  0.9982  0.0018  0.7521

Principal peaks in the range 2θ from 15° to 90°, in order of rising 2θ:
2theta  I (rel.)
28.02  207
28.15  398
30.90  1000
33.15  348
33.27  684
33.71  526
33.86  246
51.58  292
56.06  270
58.21  255


Structure and simulated X-ray powder pattern of Ba2La2Co4O11 (DFT lattice parameters and positions (GGA+U); CuKα).
Intensities are scaled so that the largest is 1000.

Cell and atoms:
a = 3.9365 Å, b = 7.7216 Å, c = 7.8955 Å
α = 90.00°, β = 90.00°, γ = 90.00°
Positions (direct):
Ba  0.0000  0.0000  0.2491
Ba  0.0000  0.0000  0.7509
La  0.0000  0.5000  0.2331
La  0.0000  0.5000  0.7669
Co  0.5000  0.2511  0.0000
Co  0.5000  0.2531  0.5000
Co  0.5000  0.7469  0.5000
Co  0.5000  0.7489  0.0000
O  0.0000  0.2664  0.0000
O  0.0000  0.3080  0.5000
O  0.0000  0.6921  0.5000
O  0.0000  0.7336  0.0000
O  0.5000  0.0000  0.0000
O  0.5000  0.0000  0.5000
O  0.5000  0.2891  0.2709
O  0.5000  0.2891  0.7291
O  0.5000  0.5000  0.0000
O  0.5000  0.7109  0.2709
O  0.5000  0.7109  0.7291

Principal peaks in the range 2θ from 15° to 90°, in order of rising 2θ:
2theta  I (rel.)
22.56  118
32.11  465
32.46  1000
39.89  204
45.98  147
46.12  156
47.08  129
57.47  369
58.13  196
67.16  86


Structure and simulated X-ray powder pattern of Ba6Co2N6O (DFT lattice parameters and positions (GGA+U); CuKα).
Intensities are scaled so that the largest is 1000.

Cell and atoms:
a = 7.3454 Å, b = 7.3454 Å, c = 7.3454 Å
α = 65.53°, β = 65.53°, γ = 65.53°
Positions (direct):
Ba  0.1660  0.7339  0.3525
Ba  0.2661  0.6475  0.8340
Ba  0.3525  0.1660  0.7339
Ba  0.6475  0.8340  0.2661
Ba  0.7339  0.3525  0.1660
Ba  0.8340  0.2661  0.6475
Co  0.2517  0.2517  0.2517
Co  0.7483  0.7483  0.7483
N  0.0385  0.4746  0.2459
N  0.2459  0.0385  0.4746
N  0.4746  0.2459  0.0385
N  0.5254  0.7541  0.9615
N  0.7541  0.9615  0.5254
N  0.9615  0.5254  0.7541
O  0.5000  0.5000  0.5000

Principal peaks in the range 2θ from 15° to 90°, in order of rising 2θ:
2theta  I (rel.)
27.30  1000
27.92  598
31.19  485
33.34  423
34.87  394
39.25  187
43.61  214
47.93  282
53.17  163
55.00  183


Structure and simulated X-ray powder pattern of Ba8Nb6CoO24 (DFT lattice parameters and positions (GGA+U); CuKα).
Intensities are scaled so that the largest is 1000.

Cell and atoms:
a = 5.8102 Å, b = 5.8102 Å, c = 18.9600 Å
α = 90.02°, β = 90.02°, γ = 60.04°
Positions (direct):
Ba  0.0001  0.0001  0.1855
Ba  0.9999  0.9999  0.8145
Ba  0.3333  0.3333  0.3177
Ba  0.3334  0.3334  0.5443
Ba  0.3328  0.3328  0.9387
Ba  0.6672  0.6672  0.0613
Ba  0.6666  0.6666  0.4557
Ba  0.6667  0.6667  0.6823
Nb  0.0000  0.0000  0.3860
Nb  0.0000  0.0000  0.6140
Nb  0.3332  0.3332  0.7465
Nb  0.3335  0.3335  0.1209
Nb  0.6665  0.6665  0.8791
Nb  0.6668  0.6668  0.2535
Co  0.0000  0.0000  0.0000
O  0.0023  0.4991  0.8131
O  0.1659  0.1659  0.4303
O  0.1657  0.6685  0.4303
O  0.1676  0.1676  0.6923
O  0.1678  0.6647  0.6924
O  0.1703  0.6584  0.0649
O  0.1705  0.1705  0.0647
O  0.3315  0.8343  0.5697
O  0.3353  0.8322  0.3076
O  0.3416  0.8297  0.9351
O  0.4991  0.0023  0.8131
O  0.4991  0.4991  0.8132
O  0.5009  0.5009  0.1868
O  0.5009  0.9977  0.1869
O  0.6584  0.1703  0.0649
O  0.6647  0.1678  0.6924
O  0.6685  0.1657  0.4303
O  0.8295  0.8295  0.9353
O  0.8297  0.3416  0.9351
O  0.8322  0.3353  0.3076
O  0.8324  0.8324  0.3077
O  0.8343  0.3315  0.5697
O  0.8341  0.8341  0.5697
O  0.9977  0.5009  0.1869

Principal peaks in the range 2θ from 15° to 90°, in order of rising 2θ:
2theta  I (rel.)
29.49  991
30.77  1000
43.14  553
51.51  133
53.92  363
54.71  198
64.10  196
70.07  106
72.10  155
89.17  106


Structure and simulated X-ray powder pattern of BaNb2Co2O8 (DFT lattice parameters and positions (GGA+U); CuKα).
Intensities are scaled so that the largest is 1000.

Cell and atoms:
a = 8.2121 Å, b = 8.2121 Å, c = 8.2121 Å
α = 36.56°, β = 36.56°, γ = 36.56°
Positions (direct):
Ba  0.0000  0.0000  0.0000
Nb  0.4235  0.4235  0.4235
Nb  0.5765  0.5765  0.5765
Co  0.1705  0.1705  0.1705
Co  0.8295  0.8295  0.8295
O  0.1017  0.4337  0.8050
O  0.1950  0.8983  0.5663
O  0.3442  0.3442  0.3442
O  0.4337  0.8050  0.1017
O  0.5663  0.1950  0.8983
O  0.6558  0.6558  0.6558
O  0.8050  0.1017  0.4337
O  0.8983  0.5663  0.1950

Principal peaks in the range 2θ from 15° to 90°, in order of rising 2θ:
2theta  I (rel.)
21.37  420
27.88  1000
33.92  577
34.83  907
45.19  282
49.41  205
58.29  253
60.25  409
61.86  203
62.45  256


Structure and simulated X-ray powder pattern of Ba2Nd2Co4O11 (DFT lattice parameters and positions (GGA+U); CuKα).
Intensities are scaled so that the largest is 1000.

Cell and atoms:
a = 3.9096 Å, b = 7.6629 Å, c = 7.8339 Å
α = 90.00°, β = 90.00°, γ = 90.00°
Positions (direct):
Ba  0.0000  0.0000  0.2491
Ba  0.0000  0.0000  0.7509
Nd  0.0000  0.5000  0.2307
Nd  0.0000  0.5000  0.7693
Co  0.5000  0.2518  0.0000
Co  0.5000  0.2556  0.5000
Co  0.5000  0.7444  0.5000
Co  0.5000  0.7482  0.0000
O  0.0000  0.2690  0.0000
O  0.0000  0.3109  0.5000
O  0.0000  0.6891  0.5000
O  0.0000  0.7310  0.0000
O  0.5000  0.0000  0.0000
O  0.5000  0.0000  0.5000
O  0.5000  0.2930  0.2695
O  0.5000  0.2930  0.7305
O  0.5000  0.5000  0.0000
O  0.5000  0.7070  0.2695
O  0.5000  0.7070  0.7305

Principal peaks in the range 2θ from 15° to 90°, in order of rising 2θ:
2theta  I (rel.)
22.72  129
32.35  465
32.71  1000
40.20  207
46.41  298
47.46  126
57.93  365
58.61  199
67.73  84
68.55  151


> What is the formula in the first record?

BaHoCo4O7